Simulated powder diffraction line list of Ce6Hf for λ = 1.5418 Å (Cu Kα), from DFT lattice parameters and positions (GGA-PBE).
No peak broadening, texture or thermal motion is included.

Cell and atoms:
```
Ce6Hf
1.0
-3.7562 3.7562 3.7562
3.7562 -3.7562 3.7562
3.7562 3.7562 -3.7562
Ce Hf
6 1
direct
0.2500 0.5000 0.7500
0.2500 0.7500 0.5000
0.5000 0.2500 0.7500
0.5000 0.7500 0.2500
0.7500 0.2500 0.5000
0.7500 0.5000 0.2500
0.0000 0.0000 0.0000
```

Largest 10 diffraction maxima, low angle first, 10° ≤ 2θ ≤ 80°:
2θ/deg, I (rel.)
23.7, 42
29.1, 100
41.6, 27
45.2, 60
48.5, 30
54.6, 17
57.5, 15
68.4, 18
71.0, 19
78.5, 18



Simulated powder diffraction line list of CeHfZnMo for λ = 1.5418 Å (Cu Kα), from DFT lattice parameters and positions (GGA-PBE).
No peak broadening, texture or thermal motion is included.

Cell and atoms:
```
CeHfZnMo
1.0
0.0000 3.4321 3.4321
3.4321 0.0000 3.4321
3.4321 3.4321 0.0000
Ce Hf Zn Mo
1 1 1 1
direct
0.0000 0.0000 0.0000
0.5000 0.5000 0.5000
0.2500 0.2500 0.2500
0.7500 0.7500 0.7500
```

Largest 9 diffraction maxima, low angle first, 10° ≤ 2θ ≤ 80°:
2θ/deg, I (rel.)
22.4, 2
26.0, 11
37.0, 100
43.7, 1
45.8, 3
53.4, 17
60.3, 5
66.8, 35
78.9, 11



Simulated powder diffraction line list of CeHf3N4 for λ = 1.5418 Å (Cu Kα), from DFT lattice parameters and positions (GGA-PBE).
No peak broadening, texture or thermal motion is included.

Cell and atoms:
```
CeHf3N4
1.0
3.2577 0.0000 0.0000
-1.6289 2.8213 0.0000
0.0000 0.0000 21.9516
Ce Hf N
2 6 8
direct
0.3333 0.6667 0.2500
0.6667 0.3333 0.7500
0.0000 0.0000 0.0000
0.0000 0.0000 0.5000
0.3333 0.6667 0.6198
0.3333 0.6667 0.8802
0.6667 0.3333 0.1198
0.6667 0.3333 0.3802
0.0000 0.0000 0.1733
0.0000 0.0000 0.3267
0.0000 0.0000 0.6733
0.0000 0.0000 0.8267
0.3333 0.6667 0.0579
0.3333 0.6667 0.4421
0.6667 0.3333 0.5579
0.6667 0.3333 0.9421
```

Largest 10 diffraction maxima, low angle first, 10° ≤ 2θ ≤ 80°:
2θ/deg, I (rel.)
32.6, 61
32.8, 43
34.1, 100
35.8, 57
37.9, 68
40.4, 55
56.5, 89
60.3, 15
66.8, 55
68.4, 19